Theoretical XRD peak list of UV2PbO9 for Cu Ka, from a cell relaxed with GGA+U.
No peak broadening, texture or thermal motion is included.

Largest 10 diffraction maxima, by angle, 2θ = 5–70°:
- (1 1 -1), 2θ 15.19, intensity 31
- (1 1 -2), 2θ 17.32, intensity 13
- (1 1 1), 2θ 21.17, intensity 16
- (1 1 -3), 2θ 22.13, intensity 24
- (0 2 2), 2θ 22.72, intensity 100
- (1 3 -1), 2θ 28.26, intensity 12
- (2 1 -3), 2θ 28.38, intensity 11
- (2 0 0), 2θ 29.22, intensity 15
- (2 2 -2), 2θ 30.64, intensity 42
- (2 4 0), 2θ 45.15, intensity 17

Cell and atoms:
a b c (Å): 6.984 10.642 13.202
angles (deg): 90.00 118.93 90.00
Space group P2_1/c (No. 14)
One atom of each set of equivalent atoms:
U  0.211  0.004  0.258 [4 per cell]
V  0.193  0.743  0.461 [4 per cell]
V  0.275  0.547  0.179 [4 per cell]
Pb  0.328  0.228  0.031 [4 per cell]
O  0.051  0.164  0.128 [4 per cell]
O  0.097  0.603  0.634 [4 per cell]
O  0.102  0.505  0.233 [4 per cell]
O  0.142  0.649  0.055 [4 per cell]
O  0.275  0.670  0.876 [4 per cell]
O  0.317  0.111  0.383 [4 per cell]
O  0.388  0.079  0.647 [4 per cell]
O  0.402  0.644  0.529 [4 per cell]
O  0.486  0.113  0.216 [4 per cell]